The following is a calculated XRD peak list of NpIO. It was derived from a DFT-relaxed cell (GGA-PBE, the Materials Project), using a wavelength of 1.5418 Å.
No peak broadening, texture or thermal motion is included.

Most intense lines, 10° ≤ 2θ ≤ 90°, low angle first:
- 2θ = 29.5°, d 3.032, rel. 1000, (1 0 2)
- 2θ = 31.6°, d 2.829, rel. 429, (1 1 0)
- 2θ = 36.7°, d 2.450, rel. 157, (1 0 3)
- 2θ = 45.3°, d 2.000, rel. 192, (2 0 0)
- 2θ = 50.8°, d 1.796, rel. 170, (1 1 4)
- 2θ = 55.0°, d 1.670, rel. 355, (2 1 2)
- 2θ = 59.5°, d 1.554, rel. 82, (1 1 5)
- 2θ = 59.7°, d 1.549, rel. 85, (2 1 3)

Structure:
```
data_NpIO
_symmetry_space_group_name_H-M 'P 4/n m m'
_symmetry_Int_Tables_number 129
_cell_length_a 4.0005
_cell_length_b 4.0005
_cell_length_c 9.2983
_cell_angle_alpha 90.00
_cell_angle_beta 90.00
_cell_angle_gamma 90.00
loop_
_symmetry_equiv_pos_as_xyz
'x,y,z'
'-x,-y,-z'
'-y+1/2,x,z'
'y+1/2,-x,-z'
'-x+1/2,-y+1/2,z'
'x+1/2,y+1/2,-z'
'y,-x+1/2,z'
'-y,x+1/2,-z'
'x+1/2,-y,-z'
'-x+1/2,y,z'
'-y,-x,-z'
'y,x,z'
'-x,y+1/2,-z'
'x,-y+1/2,z'
'y+1/2,x+1/2,-z'
'-y+1/2,-x+1/2,z'
loop_
_atom_site_label
_atom_site_type_symbol
_atom_site_fract_x
_atom_site_fract_y
_atom_site_fract_z
Np1 Np 0.2500 0.2500 0.1257
I1 I 0.2500 0.2500 0.6730
O1 O 0.2500 0.7500 0.0000
```

The following is a calculated XRD peak list of CsTmBr3. It was derived from a DFT-relaxed cell (GGA-PBE, the Materials Project), using a wavelength of 1.5418 Å.
No peak broadening, texture or thermal motion is included.

Most intense lines, 10° ≤ 2θ ≤ 90°, low angle first:
- 2θ = 15.8°, d 5.606, rel. 343, (0 0 1)
- 2θ = 22.4°, d 3.964, rel. 1000, (2 0 0)
- 2θ = 27.6°, d 3.237, rel. 369, (2 0 1)
- 2θ = 31.8°, d 2.811, rel. 444, (0 0 2)
- 2θ = 32.0°, d 2.799, rel. 845, (2 2 0)
- 2θ = 39.4°, d 2.289, rel. 499, (3 1 1)
- 2θ = 45.7°, d 1.983, rel. 616, (2 2 2)
- 2θ = 56.9°, d 1.618, rel. 309, (4 0 2)

Structure:
```
data_CsTmBr3
_symmetry_space_group_name_H-M 'P 4/m b m'
_symmetry_Int_Tables_number 127
_symmetry_space_group_name_Hall '-P 4 2ab'
_cell_length_a 7.9165
_cell_length_b 7.9165
_cell_length_c 5.6221
_cell_angle_alpha 90.00
_cell_angle_beta 90.00
_cell_angle_gamma 90.00
loop_
_atom_site_label
_atom_site_type_symbol
_atom_site_fract_x
_atom_site_fract_y
_atom_site_fract_z
Cs1 Cs 0.0000 0.5000 0.0000
Tm1 Tm 0.0000 0.0000 0.5000
Br1 Br 0.0000 0.0000 0.0000
Br2 Br 0.2298 0.2702 0.5000
```

The following is a calculated XRD peak list of Na2AlZnF7. It was derived from a DFT-relaxed cell (GGA-PBE, the Materials Project), using a wavelength of 1.5418 Å.
No peak broadening, texture or thermal motion is included.

Most intense lines, 10° ≤ 2θ ≤ 90°, low angle first:
- 2θ = 14.6°, d 6.048, rel. 1000, (0 1 1)
- 2θ = 28.7°, d 3.115, rel. 288, (0 3 1)
- 2θ = 28.9°, d 3.095, rel. 454, (2 1 1)
- 2θ = 29.5°, d 3.024, rel. 933, (0 2 2)
- 2θ = 30.3°, d 2.950, rel. 875, (2 2 0)
- 2θ = 50.0°, d 1.826, rel. 825, (2 4 2)
- 2θ = 58.4°, d 1.579, rel. 410, (2 2 4)
- 2θ = 59.8°, d 1.547, rel. 291, (4 2 2)

Structure:
```
data_Na2AlZnF7
_symmetry_space_group_name_H-M 'I m m a'
_symmetry_Int_Tables_number 74
_symmetry_space_group_name_Hall '-I 2b 2'
_cell_length_a 7.2037
_cell_length_b 10.2790
_cell_length_c 7.4789
_cell_angle_alpha 90.00
_cell_angle_beta 90.00
_cell_angle_gamma 90.00
loop_
_atom_site_label
_atom_site_type_symbol
_atom_site_fract_x
_atom_site_fract_y
_atom_site_fract_z
Na1 Na 0.0000 0.0000 0.0000
Na2 Na 0.2500 0.2500 0.2500
Al1 Al 0.0000 0.0000 0.5000
Zn1 Zn 0.2500 0.2500 0.7500
F1 F 0.0000 0.0828 0.2787
F2 F 0.0000 0.2500 0.8738
F3 F 0.1848 0.1115 0.5639
```

The following is a calculated XRD peak list of Ag2Hg. It was derived from a DFT-relaxed cell (GGA-PBE, the Materials Project), using a wavelength of 1.5418 Å.
No peak broadening, texture or thermal motion is included.

Most intense lines, 10° ≤ 2θ ≤ 90°, low angle first:
- 2θ = 12.2°, d 7.244, rel. 112, (0 0 1)
- 2θ = 35.8°, d 2.511, rel. 1000, (1 0 1)
- 2θ = 37.2°, d 2.415, rel. 279, (0 0 3)
- 2θ = 42.0°, d 2.153, rel. 617, (0 1 2)
- 2θ = 59.8°, d 1.546, rel. 208, (1 1 0)
- 2θ = 61.9°, d 1.500, rel. 204, (1 0 4)
- 2θ = 71.7°, d 1.316, rel. 129, (0 2 1)
- 2θ = 72.6°, d 1.302, rel. 230, (1 1 3)

Structure:
```
data_Ag2Hg
_symmetry_space_group_name_H-M 'P -3 m 1'
_symmetry_Int_Tables_number 164
_symmetry_space_group_name_Hall '-P 3 2"'
_cell_length_a 3.0915
_cell_length_b 3.0915
_cell_length_c 7.2440
_cell_angle_alpha 90.00
_cell_angle_beta 90.00
_cell_angle_gamma 120.00
loop_
_atom_site_label
_atom_site_type_symbol
_atom_site_fract_x
_atom_site_fract_y
_atom_site_fract_z
Ag1 Ag 0.3333 0.6667 0.1574
Hg1 Hg 0.0000 0.0000 0.5000
```

The following is a calculated XRD peak list of BaSrDyNbO6. It was derived from a DFT-relaxed cell (GGA-PBE, the Materials Project), using a wavelength of 1.5418 Å.
No peak broadening, texture or thermal motion is included.

Most intense lines, 10° ≤ 2θ ≤ 90°, low angle first:
- 2θ = 29.9°, d 2.993, rel. 1000, (1 -1 2)
- 2θ = 29.9°, d 2.987, rel. 245, (2 0 0)
- 2θ = 30.0°, d 2.976, rel. 245, (1 1 2)
- 2θ = 42.6°, d 2.122, rel. 144, (2 -2 0)
- 2θ = 42.8°, d 2.115, rel. 145, (0 0 4)
- 2θ = 52.9°, d 1.730, rel. 158, (-3 1 2)
- 2θ = 53.0°, d 1.728, rel. 160, (2 0 -4)
- 2θ = 53.1°, d 1.724, rel. 204, (3 1 -2)

Structure:
```
data_BaSrDyNbO6
_symmetry_space_group_name_H-M 'P -1'
_symmetry_Int_Tables_number 2
_cell_length_a 5.9734
_cell_length_b 5.9779
_cell_length_c 8.4595
_cell_angle_alpha 90.23
_cell_angle_beta 90.15
_cell_angle_gamma 90.50
loop_
_symmetry_equiv_pos_as_xyz
'x,y,z'
'-x,-y,-z'
loop_
_atom_site_label
_atom_site_type_symbol
_atom_site_fract_x
_atom_site_fract_y
_atom_site_fract_z
Ba1 Ba 0.0042 0.0191 0.2500
Sr1 Sr 0.4965 0.5232 0.2506
Dy1 Dy 0.0000 0.5000 0.5000
Dy2 Dy 0.5000 0.0000 0.0000
Nb1 Nb 0.0000 0.5000 0.0000
Nb2 Nb 0.5000 0.0000 0.5000
O1 O 0.0672 0.5057 0.7637
O2 O 0.2094 0.7626 0.0309
O3 O 0.2384 0.7889 0.4704
O4 O 0.2683 0.2951 0.0336
O5 O 0.2969 0.2703 0.4676
O6 O 0.4460 0.0153 0.7363
```

The following is a calculated XRD peak list of K3SrPCO7. It was derived from a DFT-relaxed cell (GGA-PBE, the Materials Project), using a wavelength of 1.5418 Å.
No peak broadening, texture or thermal motion is included.

Most intense lines, 10° ≤ 2θ ≤ 90°, low angle first:
- 2θ = 23.4°, d 3.801, rel. 553, (0 2 0)
- 2θ = 29.5°, d 3.030, rel. 1000, (1 2 -1)
- 2θ = 29.6°, d 3.017, rel. 601, (1 2 1)
- 2θ = 30.7°, d 2.911, rel. 249, (1 0 -3)
- 2θ = 31.1°, d 2.879, rel. 962, (2 0 0)
- 2θ = 43.2°, d 2.094, rel. 473, (0 2 4)
- 2θ = 47.9°, d 1.900, rel. 258, (0 4 0)
- 2θ = 58.2°, d 1.585, rel. 216, (2 4 0)

Structure:
```
data_K3SrPCO7
_symmetry_space_group_name_H-M 'P 1 21/m 1'
_symmetry_Int_Tables_number 11
_cell_length_a 5.7634
_cell_length_b 7.5990
_cell_length_c 10.0317
_cell_angle_alpha 90.00
_cell_angle_beta 90.85
_cell_angle_gamma 90.00
loop_
_symmetry_equiv_pos_as_xyz
'x,y,z'
'-x,-y,-z'
'-x,y+1/2,-z'
'x,-y+1/2,z'
loop_
_atom_site_label
_atom_site_type_symbol
_atom_site_fract_x
_atom_site_fract_y
_atom_site_fract_z
K1 K 0.2389 0.2500 0.4164
K2 K 0.2519 0.5054 0.7580
Sr1 Sr 0.2259 0.7500 0.1344
P1 P 0.2987 0.2500 0.0894
C1 C 0.2634 0.7500 0.4369
O1 O 0.0597 0.7500 0.3778
O2 O 0.1869 0.2500 0.9463
O3 O 0.2244 0.0825 0.1690
O4 O 0.2796 0.7500 0.5665
O5 O 0.4314 0.7500 0.9240
O6 O 0.4504 0.7500 0.3644
```

Number 2 is which compound? CsTmBr3